1.
The following is a calculated PXRD pattern of ReH8I6N2. It was derived from a DFT-relaxed cell (PBE, the Materials Project), using λ = 1.5418 Å (Cu Kα).

Most intense lines, 10 to 90 degrees two-theta, in order of falling intensity:
(1 0 1), 13.4°, rel. 100.0; (2 0 2), 26.9°, rel. 87.3; (1 1 0), 15.8°, rel. 70.6; (2 2 0), 32.0°, rel. 69.2; (0 0 4), 29.3°, rel. 56.2; (0 0 2), 14.6°, rel. 55.0; (2 2 4), 44.0°, rel. 50.8; (3 1 0), 35.9°, rel. 38.9; (2 1 2), 29.2°, rel. 34.9; (3 1 4), 47.0°, rel. 34.1; (2 1 0), 25.2°, rel. 25.6; (2 1 1), 26.2°, rel. 24.4

Atomic structure:
```
data_ReH8I6N2
_space_group_name_H-M_alt 'P 4/m n c'
_space_group_IT_number 128
_space_group_name_Hall '-P 4 2n'
_cell_length_a 7.909
_cell_length_b 7.909
_cell_length_c 12.173
_cell_angle_alpha 90.00
_cell_angle_beta 90.00
_cell_angle_gamma 90.00
loop_
_atom_site_label
_atom_site_type_symbol
_atom_site_fract_x
_atom_site_fract_y
_atom_site_fract_z
Re1 Re 0.000 0.000 0.000
H1 H 0.001 0.393 0.201
I1 I 0.000 0.000 0.227
I2 I 0.196 0.286 0.000
N1 N 0.000 0.500 0.250
```


2.
The following is a calculated PXRD pattern of NaH4IO7. It was derived from a DFT-relaxed cell (PBE, the Materials Project), using λ = 1.5418 Å (Cu Kα).

Most intense lines, 10 to 90 degrees two-theta, in order of falling intensity:
(0 0 1), 18.2°, rel. 100.0; (1 1 1), 19.8°, rel. 97.7; (0 1 0), 18.3°, rel. 95.7; (0 1 1), 21.0°, rel. 94.8; (1 1 0), 21.8°, rel. 88.2; (1 0 0), 18.5°, rel. 86.8; (1 0 1), 22.1°, rel. 84.3; (0 2 1), 35.4°, rel. 53.3; (2 1 0), 36.5°, rel. 45.0; (1 0 2), 36.4°, rel. 42.5; (0 0 2), 36.8°, rel. 36.1; (1 1 2), 31.4°, rel. 32.2

Atomic structure:
```
data_NaH4IO7
_space_group_name_H-M_alt 'P 1'
_space_group_IT_number 1
_cell_length_a 5.542
_cell_length_b 5.721
_cell_length_c 5.731
_cell_angle_alpha 62.44
_cell_angle_beta 64.98
_cell_angle_gamma 64.06
loop_
_space_group_symop_operation_xyz
'x,y,z'
loop_
_atom_site_label
_atom_site_type_symbol
_atom_site_fract_x
_atom_site_fract_y
_atom_site_fract_z
Na1 Na 0.000 0.000 0.000
H1 H 0.084 0.652 0.602
H2 H 0.592 0.096 0.646
H3 H 0.639 0.607 0.072
H4 H 0.968 0.275 0.438
I1 I 0.614 0.657 0.623
O1 O 0.184 0.198 0.176
O2 O 0.264 0.608 0.792
O3 O 0.451 0.006 0.686
O4 O 0.590 0.810 0.267
O5 O 0.702 0.474 0.976
O6 O 0.798 0.278 0.609
O7 O 0.981 0.715 0.462
```